# Li3VP3O11
Calculated powder diffractogram, copper Kα. Input: a cell relaxed with GGA+U.
Intensities are scaled so that the largest is 100.

Crystal structure
Cell lengths 5.928, 8.555, 9.813 Å; angles 104.87, 106.92, 102.23 degrees
Sites, in units of the cell vectors:
Li: 0.117 0.398 0.060
Li: 0.246 0.136 0.548
Li: 0.247 0.046 0.107
Li: 0.753 0.954 0.893
Li: 0.754 0.864 0.452
Li: 0.883 0.602 0.940
V: 0.347 0.552 0.736
V: 0.653 0.448 0.264
P: 0.212 0.924 0.767
P: 0.255 0.557 0.392
P: 0.486 0.710 0.102
P: 0.514 0.290 0.898
P: 0.745 0.443 0.608
P: 0.788 0.076 0.233
O: 0.021 0.482 0.718
O: 0.074 0.937 0.618
O: 0.079 0.931 0.880
O: 0.213 0.634 0.062
O: 0.236 0.475 0.514
O: 0.334 0.431 0.276
O: 0.342 0.318 0.761
O: 0.348 0.787 0.760
O: 0.411 0.738 0.446
O: 0.431 0.341 0.036
O: 0.472 0.087 0.851
O: 0.528 0.913 0.149
O: 0.569 0.659 0.964
O: 0.589 0.262 0.554
O: 0.652 0.213 0.240
O: 0.658 0.682 0.239
O: 0.666 0.569 0.724
O: 0.764 0.525 0.486
O: 0.787 0.366 0.938
O: 0.921 0.069 0.120
O: 0.926 0.063 0.382
O: 0.979 0.518 0.282

Principal peaks in the range 2θ = 15–90°, by angle:
2θ/deg  d_spacing  intensity  hkl
15.8  5.602  100  1 0 -1
16.4  5.392  50  1 0 0
18.4  4.809  18  -1 1 1
20.1  4.414  25  0 0 2
20.7  4.290  20  1 -1 1
22.7  3.923  70  1 1 0
27.8  3.208  18  0 2 1
28.5  3.127  49  0 1 -3
28.8  3.104  52  1 0 -3
30.5  2.931  17  -2 1 1
32.1  2.785  56  0 3 -1
32.9  2.726  19  -1 1 3